No. 1
# Ho3CuSi6Ni2
Theoretical X-ray diffraction stick pattern, Cu Kα (weighted mean of Kα1 and Kα2). Input: a crystal structure in Alexandria, relaxed with GGA-PBE.
Neutral-atom scattering factors, no anomalous dispersion.

Crystal structure
a = 5.2298 Å, b = 5.2298 Å, c = 9.0175 Å
α = 90.00°, β = 90.00°, γ = 120.00°
Positions (direct):
Ho: 0.0000 0.0000 0.0000
Ho: 0.3333 0.6667 0.5762
Ho: 0.6667 0.3333 0.4238
Cu: 0.0000 0.0000 0.5000
Si: 0.1673 0.3347 0.2778
Si: 0.1673 0.8327 0.2778
Si: 0.3347 0.1673 0.7222
Si: 0.6653 0.8327 0.2778
Si: 0.8327 0.1673 0.7222
Si: 0.8327 0.6653 0.7222
Ni: 0.3333 0.6667 0.0835
Ni: 0.6667 0.3333 0.9165

The 10 most intense peaks (2θ from 5° to 70°), low angle first:
- 19.69 deg, I = 34
- 21.96 deg, I = 48
- 27.92 deg, I = 89
- 34.29 deg, I = 100
- 35.86 deg, I = 27
- 39.85 deg, I = 97
- 41.10 deg, I = 26
- 44.79 deg, I = 42
- 44.91 deg, I = 64
- 68.87 deg, I = 35

=====

No. 2
# Pu6OsPd5
Theoretical X-ray diffraction stick pattern, Cu Kα (weighted mean of Kα1 and Kα2). Input: a crystal structure in Alexandria, relaxed with GGA-PBE.
Neutral-atom scattering factors, no anomalous dispersion.

Crystal structure
a = 7.9226 Å, b = 7.9226 Å, c = 6.8847 Å
α = 90.59°, β = 90.59°, γ = 36.39°
Positions (direct):
Pu: 0.0019 0.0019 0.2394
Pu: 0.3416 0.3416 0.2480
Pu: 0.3440 0.3440 0.7576
Pu: 0.6560 0.6560 0.2424
Pu: 0.6584 0.6584 0.7520
Pu: 0.9981 0.9981 0.7606
Os: 0.5000 0.5000 0.0000
Pd: 0.1785 0.1785 0.9931
Pd: 0.1787 0.1787 0.5041
Pd: 0.5000 0.5000 0.5000
Pd: 0.8213 0.8213 0.4959
Pd: 0.8215 0.8215 0.0069

The 10 most intense peaks (2θ from 5° to 70°), low angle first:
- 25.28 deg, I = 16
- 35.79 deg, I = 32
- 36.34 deg, I = 100
- 36.64 deg, I = 64
- 51.91 deg, I = 23
- 53.22 deg, I = 11
- 64.49 deg, I = 10
- 65.38 deg, I = 18
- 65.54 deg, I = 12
- 66.14 deg, I = 12

=====

No. 3
# Sn3Pb3Au8
Theoretical X-ray diffraction stick pattern, Cu Kα (weighted mean of Kα1 and Kα2). Input: a crystal structure in Alexandria, relaxed with GGA-PBE.
Neutral-atom scattering factors, no anomalous dispersion.

Crystal structure
a = 8.7795 Å, b = 8.7795 Å, c = 10.0687 Å
α = 120.09°, β = 120.09°, γ = 30.21°
Positions (direct):
Sn: 0.0000 0.0000 0.0000
Sn: 0.3244 0.3244 0.4901
Sn: 0.6756 0.6756 0.5099
Pb: 0.0000 0.0000 0.5000
Pb: 0.2972 0.2972 0.8776
Pb: 0.7028 0.7028 0.1224
Au: 0.1243 0.1243 0.8933
Au: 0.1308 0.1308 0.3308
Au: 0.3746 0.3746 0.2755
Au: 0.4880 0.4880 0.8120
Au: 0.5120 0.5120 0.1880
Au: 0.6254 0.6254 0.7245
Au: 0.8692 0.8692 0.6692
Au: 0.8757 0.8757 0.1067

The 10 most intense peaks (2θ from 5° to 70°), low angle first:
- 27.90 deg, I = 30
- 31.40 deg, I = 100
- 31.71 deg, I = 30
- 33.21 deg, I = 22
- 33.37 deg, I = 32
- 36.32 deg, I = 34
- 39.38 deg, I = 59
- 39.77 deg, I = 19
- 40.24 deg, I = 26
- 41.04 deg, I = 24